# Ho2Fe17N3
Computed XRD peak list, Cu Kα (λ = 1.5418 Å). Input: a structure optimized by DFT (PBE).

a b c (Å): 8.6265 8.6265 8.3735
angles (deg): 90.00 90.00 120.00
Space group P6_3/mmc (No. 194)
Inequivalent atoms, fractional coordinates:
Ho 0.0000 0.0000 0.2500
Ho 0.3333 0.6667 0.2500
Fe 0.0000 0.5000 0.0000
Fe 0.0528 0.3810 0.7500
Fe 0.1692 0.3384 0.0204
Fe 0.3333 0.6667 0.6076
N 0.1636 0.3273 0.2500

The 12 most intense peaks (2θ = 15–90°), in order of rising 2θ:
hkl 1 1 2, 2θ = 29.74°, intensity 46; hkl 2 1 1, 2θ = 33.49°, intensity 18; hkl 3 0 0, 2θ = 36.07°, intensity 40; hkl 2 0 3, 2θ = 40.34°, intensity 37; hkl 2 2 0, 2θ = 41.89°, intensity 77; hkl 3 0 2, 2θ = 42.22°, intensity 100; hkl 0 0 4, 2θ = 43.22°, intensity 36; hkl 2 1 3, 2θ = 45.71°, intensity 21; hkl 4 1 2, 2θ = 60.99°, intensity 22; hkl 2 2 4, 2θ = 61.76°, intensity 22; hkl 6 0 0, 2θ = 76.51°, intensity 16; hkl 3 0 6, 2θ = 78.58°, intensity 19